Diffraction record for Li2PrZn2Ag2. The X-ray diffraction stick pattern is theoretical, not measured: it uses the GGA-PBE geometry in Alexandria and a wavelength of 1.5418 Å.
Kinematic intensities with the Lorentz-polarization factor, no thermal factor.

Principal peaks in the range 2θ = 10–90°, most intense first:
Position (°2θ), d/Å, intensity, index
39.23, 2.296, 100, 0 2 0
27.33, 3.263, 62, 1 1 1
11.57, 7.651, 38, 0 0 1
35.54, 2.526, 34, 1 1 2
27.18, 3.281, 31, 2 0 -2
29.67, 3.011, 26, 1 1 -2
23.25, 3.826, 23, 0 0 2
38.64, 2.330, 18, 1 1 -3
35.35, 2.539, 17, 2 0 -3
71.11, 1.326, 16, 6 0 -2

Structural model:
abc: 7.960 4.590 8.115
angles: 90.00 109.47 90.00
Space group C2/m (No. 12)
Unique sites:
Li: 0.140 0.000 0.419 (multiplicity 4)
Pr: 0.000 0.000 0.000 (multiplicity 2)
Zn: 0.076 0.500 0.730 (multiplicity 4)
Ag: 0.247 0.500 0.240 (multiplicity 4)